The following is a simulated XRD peak list of LiAl3Si9N14O2. It was derived from a cell relaxed with PBE, using Cu Kα (λ = 1.5418 Å).
Kinematic intensities with the Lorentz-polarization factor, no thermal factor.

Cell and atoms:
```
LiAl3Si9N14O2
1.0
5.7050 0.0000 0.0000
0.0175 7.8743 0.0000
0.0251 3.9056 6.8509
Li Al Si N O
1 3 9 14 2
Cartesian
0.0000 0.0000 0.0000
0.2920 4.1503 3.9035
1.4649 6.5657 5.6691
3.1548 1.3354 1.0829
0.2376 2.3289 1.5916
0.3013 5.2398 1.2023
1.4471 7.5722 2.7564
1.4750 9.5124 5.0913
3.1472 6.2720 0.6108
3.2173 4.0828 5.0822
4.2971 6.5291 3.3823
4.3713 7.5136 6.2628
4.3698 9.5116 3.9952
0.0432 10.3543 4.6570
0.0641 6.5434 2.3792
0.7173 3.8844 2.1519
1.4296 1.0764 1.7061
1.4779 7.9118 4.4449
1.5652 5.6998 0.0290
2.9173 10.3389 4.5352
2.9241 6.6938 2.3103
3.6007 3.8504 6.7530
4.3173 7.8376 4.5558
4.3633 5.0137 4.2141
4.4279 5.0708 0.3772
4.4686 1.7386 2.2834
5.6783 6.4922 6.7266
1.6719 4.8864 4.9391
2.9726 6.6350 6.6866
```

Peak list (10 most intense, 2θ = 10–90°, sorted by position)
two_theta	intensity	hkl
20.26	82	1 0 1
22.50	32	0 1 -1
30.45	82	1 0 2
30.57	41	-1 2 2
34.06	100	2 0 -1
34.62	38	0 2 -1
34.76	56	0 2 3
38.16	34	1 1 3
38.29	27	1 2 3
42.66	25	1 3 0